Calculated powder X-ray diffraction pattern
Compound: ZrGeTe4
Radiation: Cu Kα (weighted mean of Kα1 and Kα2)
Structure: a cell relaxed with GGA-PBE

Most intense lines, 10° ≤ 2θ ≤ 90°, low angle first:
| d [Å] | two_theta | I (rel.) |
| --- | --- | --- |
| 6.788 | 13.04 | 52.0 |
| 3.394 | 26.26 | 59.5 |
| 3.290 | 27.11 | 45.4 |
| 3.155 | 28.29 | 100.0 |
| 2.833 | 31.58 | 45.5 |
| 2.786 | 32.13 | 59.8 |
| 2.696 | 33.23 | 38.0 |
| 2.539 | 35.35 | 76.4 |
| 2.463 | 36.48 | 24.4 |
| 2.135 | 42.34 | 35.3 |
| 2.013 | 45.03 | 35.8 |
| 1.845 | 49.39 | 25.5 |

```
data_ZrGeTe4
_chemical_formula_sum 'Zr2 Ge2 Te8'
_cell_length_a 8.792
_cell_length_b 8.792
_cell_length_c 11.144
_cell_angle_alpha 90.00
_cell_angle_beta 90.00
_cell_angle_gamma 153.52
_symmetry_space_group_name_H-M 'P 1'
_symmetry_Int_Tables_number 1
_symmetry_space_group_name_Hall 'P 1'
loop_
_atom_site_label
_atom_site_type_symbol
_atom_site_fract_x
_atom_site_fract_y
_atom_site_fract_z
Zr1 Zr 0.156 0.844 0.500
Zr2 Zr 0.844 0.156 0.000
Ge1 Ge 0.270 0.730 0.310
Ge2 Ge 0.730 0.270 0.810
Te1 Te 0.125 0.875 0.774
Te2 Te 0.224 0.776 0.075
Te3 Te 0.394 0.606 0.814
Te4 Te 0.471 0.529 0.032
Te5 Te 0.529 0.471 0.532
Te6 Te 0.606 0.394 0.314
Te7 Te 0.776 0.224 0.575
Te8 Te 0.875 0.125 0.274
```